Theoretical powder diffraction line list of Tb4Ge3N for Cu Kα X-rays, from the PBE geometry in OQMD.
Lines closer than 0.1° are merged.

a b c (Å): 5.7001 5.7001 11.3002
angles (deg): 90.00 90.00 90.00
Space group I4/mmm (No. 139)
Symmetry-distinct sites (fractional):
Tb 0.0000 0.0000 0.2053 x4
Tb 0.0000 0.5000 0.0000 x4
Ge 0.0000 0.0000 0.5000 x2
Ge 0.0000 0.5000 0.2500 x4
N 0.0000 0.0000 0.0000 x2

Principal peaks in the range 10° ≤ 2θ ≤ 80°, most intense first:
- 2θ = 31.39°, rel. 100.0, (2 0 0)
- 2θ = 45.19°, rel. 45.9, (2 0 4)
- 2θ = 27.18°, rel. 43.9, (1 1 2)
- 2θ = 44.98°, rel. 36.9, (2 2 0)
- 2θ = 31.67°, rel. 30.8, (0 0 4)
- 2θ = 28.40°, rel. 30.0, (1 0 3)
- 2θ = 56.05°, rel. 24.1, (2 2 4)
- 2θ = 42.84°, rel. 20.0, (2 1 3)